[1]
# ErHBrCl
Calculated X-ray powder pattern, Cu Kα, 1.54184 Å. Input: a GGA-PBE-relaxed structure.
Peak positions follow from Bragg's law for the DFT cell and can differ from measured ones.

Structure:
```
data_ErHBrCl
_cell_length_a 3.745
_cell_length_b 3.745
_cell_length_c 14.352
_cell_angle_alpha 90.00
_cell_angle_beta 90.00
_cell_angle_gamma 120.00
_symmetry_space_group_name_H-M 'P 1'
_symmetry_Int_Tables_number 1
loop_
_symmetry_equiv_pos_as_xyz
'x,y,z'
loop_
_atom_site_label
_atom_site_fract_x
_atom_site_fract_y
_atom_site_fract_z
_atom_site_occupancy
Er1 0.000 0.000 0.000 1
Er2 0.000 0.000 0.500 1
H1 0.333 0.667 0.000 1
H2 0.667 0.333 0.500 1
Br1 0.667 0.333 0.134 1
Br2 0.667 0.333 0.866 1
Cl1 0.333 0.667 0.379 1
Cl2 0.333 0.667 0.621 1
```

Top 10 peaks for 2θ from 10° to 90°, low angle first:
2θ/deg	I (rel.)
12.3	100.0
27.5	22.7
28.2	17.4
30.2	81.2
37.4	82.8
47.2	20.7
48.6	30.4
50.4	17.7
62.9	17.9
73.0	16.7


[2]
# Er4BrN2Cl
Calculated X-ray powder pattern, Cu Kα, 1.54184 Å. Input: a GGA-PBE-relaxed structure.
Peak positions follow from Bragg's law for the DFT cell and can differ from measured ones.

Structure:
```
data_Er4BrN2Cl
_cell_length_a 3.506
_cell_length_b 3.506
_cell_length_c 13.593
_cell_angle_alpha 90.00
_cell_angle_beta 90.00
_cell_angle_gamma 120.00
_symmetry_space_group_name_H-M 'P 1'
_symmetry_Int_Tables_number 1
loop_
_symmetry_equiv_pos_as_xyz
'x,y,z'
loop_
_atom_site_label
_atom_site_fract_x
_atom_site_fract_y
_atom_site_fract_z
_atom_site_occupancy
Er1 0.000 0.000 0.155 1
Er2 0.000 0.000 0.845 1
Er3 0.333 0.667 0.336 1
Er4 0.333 0.667 0.664 1
Br1 0.000 0.000 0.500 1
N1 0.667 0.333 0.243 1
N2 0.667 0.333 0.757 1
Cl1 0.333 0.667 0.000 1
```

Top 10 peaks for 2θ from 10° to 90°, low angle first:
2θ/deg	I (rel.)
13.0	14.1
29.4	24.6
30.2	14.8
35.6	100.0
39.8	19.7
50.2	13.1
52.2	24.1
64.8	17.4
67.6	19.3
87.7	15.8


[3]
# Er2S2BrCl
Calculated X-ray powder pattern, Cu Kα, 1.54184 Å. Input: a GGA-PBE-relaxed structure.
Peak positions follow from Bragg's law for the DFT cell and can differ from measured ones.

Structure:
```
data_Er2S2BrCl
_cell_length_a 3.990
_cell_length_b 5.326
_cell_length_c 7.938
_cell_angle_alpha 90.00
_cell_angle_beta 90.00
_cell_angle_gamma 90.00
_symmetry_space_group_name_H-M 'P 1'
_symmetry_Int_Tables_number 1
loop_
_symmetry_equiv_pos_as_xyz
'x,y,z'
loop_
_atom_site_label
_atom_site_fract_x
_atom_site_fract_y
_atom_site_fract_z
_atom_site_occupancy
Er1 0.000 0.000 0.000 1
Er2 0.500 0.500 0.288 1
S1 0.000 0.500 0.056 1
S2 0.500 0.000 0.235 1
Br1 0.000 0.500 0.534 1
Cl1 0.500 0.000 0.781 1
```

Top 10 peaks for 2θ from 10° to 90°, low angle first:
2θ/deg	I (rel.)
11.1	62.6
20.1	100.0
25.0	30.2
28.0	19.1
30.2	43.6
31.8	85.0
33.7	38.9
44.5	36.1
47.0	59.4
50.2	17.9


[4]
# NbBrCl2F6
Calculated X-ray powder pattern, Cu Kα, 1.54184 Å. Input: a GGA-PBE-relaxed structure.
Peak positions follow from Bragg's law for the DFT cell and can differ from measured ones.

Structure:
```
data_NbBrCl2F6
_cell_length_a 7.421
_cell_length_b 7.421
_cell_length_c 12.091
_cell_angle_alpha 90.00
_cell_angle_beta 90.00
_cell_angle_gamma 96.38
_symmetry_space_group_name_H-M 'P 1'
_symmetry_Int_Tables_number 1
loop_
_symmetry_equiv_pos_as_xyz
'x,y,z'
loop_
_atom_site_label
_atom_site_fract_x
_atom_site_fract_y
_atom_site_fract_z
_atom_site_occupancy
Nb1 0.194 0.806 0.938 1
Nb2 0.306 0.694 0.438 1
Nb3 0.694 0.306 0.562 1
Nb4 0.806 0.194 0.062 1
Br1 0.175 0.325 0.750 1
Br2 0.325 0.175 0.250 1
Br3 0.675 0.825 0.750 1
Br4 0.825 0.675 0.250 1
Cl1 0.114 0.205 0.365 1
Cl2 0.205 0.114 0.635 1
Cl3 0.295 0.386 0.135 1
Cl4 0.386 0.295 0.865 1
Cl5 0.614 0.705 0.135 1
Cl6 0.705 0.614 0.865 1
Cl7 0.795 0.886 0.365 1
Cl8 0.886 0.795 0.635 1
F1 0.015 0.699 0.038 1
F2 0.037 0.963 0.872 1
F3 0.116 0.617 0.829 1
F4 0.117 0.616 0.329 1
F5 0.142 0.858 0.497 1
F6 0.199 0.515 0.538 1
F7 0.301 0.985 0.038 1
F8 0.358 0.642 0.997 1
F9 0.383 0.884 0.829 1
F10 0.384 0.883 0.329 1
F11 0.463 0.537 0.372 1
F12 0.485 0.801 0.538 1
F13 0.515 0.199 0.462 1
F14 0.537 0.463 0.628 1
F15 0.616 0.117 0.671 1
F16 0.617 0.116 0.171 1
F17 0.642 0.358 0.003 1
F18 0.699 0.015 0.962 1
F19 0.801 0.485 0.462 1
F20 0.858 0.142 0.503 1
F21 0.883 0.384 0.671 1
F22 0.884 0.383 0.171 1
F23 0.963 0.037 0.128 1
F24 0.985 0.301 0.962 1
```

Top 10 peaks for 2θ from 10° to 90°, low angle first:
2θ/deg	I (rel.)
19.0	57.7
21.8	45.7
23.2	100.0
24.1	50.4
25.2	46.2
26.8	39.4
27.4	37.0
41.3	28.6
43.7	38.0
50.1	35.9


[5]
# Ho2Fe2BrCl
Calculated X-ray powder pattern, Cu Kα, 1.54184 Å. Input: a GGA-PBE-relaxed structure.
Peak positions follow from Bragg's law for the DFT cell and can differ from measured ones.

Structure:
```
data_Ho2Fe2BrCl
_cell_length_a 3.813
_cell_length_b 3.813
_cell_length_c 11.131
_cell_angle_alpha 90.00
_cell_angle_beta 90.00
_cell_angle_gamma 120.00
_symmetry_space_group_name_H-M 'P 1'
_symmetry_Int_Tables_number 1
loop_
_symmetry_equiv_pos_as_xyz
'x,y,z'
loop_
_atom_site_label
_atom_site_fract_x
_atom_site_fract_y
_atom_site_fract_z
_atom_site_occupancy
Ho1 0.000 0.000 0.000 1
Ho2 0.000 0.000 0.355 1
Fe1 0.333 0.667 0.169 1
Fe2 0.667 0.333 0.186 1
Br1 0.667 0.333 0.827 1
Cl1 0.333 0.667 0.510 1
```

Top 10 peaks for 2θ from 10° to 90°, low angle first:
2θ/deg	I (rel.)
27.0	25.1
28.2	21.8
31.5	53.1
36.4	100.0
47.7	38.0
49.4	12.4
61.5	21.4
64.3	12.0
70.9	18.9
81.3	19.2


[6]
# Ga2PdI4Br2Cl2
Calculated X-ray powder pattern, Cu Kα, 1.54184 Å. Input: a GGA-PBE-relaxed structure.
Peak positions follow from Bragg's law for the DFT cell and can differ from measured ones.

Structure:
```
data_Ga2PdI4Br2Cl2
_cell_length_a 7.883
_cell_length_b 7.883
_cell_length_c 7.686
_cell_angle_alpha 92.79
_cell_angle_beta 92.79
_cell_angle_gamma 67.47
_symmetry_space_group_name_H-M 'P 1'
_symmetry_Int_Tables_number 1
loop_
_symmetry_equiv_pos_as_xyz
'x,y,z'
loop_
_atom_site_label
_atom_site_fract_x
_atom_site_fract_y
_atom_site_fract_z
_atom_site_occupancy
Ga1 0.217 0.217 0.337 1
Ga2 0.783 0.783 0.663 1
Pd1 0.000 0.000 0.000 1
I1 0.097 0.671 0.847 1
I2 0.329 0.903 0.153 1
I3 0.671 0.097 0.847 1
I4 0.903 0.329 0.153 1
Br1 0.175 0.175 0.626 1
Br2 0.825 0.825 0.374 1
Cl1 0.379 0.379 0.299 1
Cl2 0.621 0.621 0.701 1
```

Top 10 peaks for 2θ from 10° to 90°, low angle first:
2θ/deg	I (rel.)
12.2	81.1
16.5	39.3
17.3	100.0
23.4	39.9
26.2	69.0
27.5	97.6
34.2	30.5
39.3	28.4
40.9	53.1
46.6	28.0


[7]
# Ga2PtI2Br4Cl2
Calculated X-ray powder pattern, Cu Kα, 1.54184 Å. Input: a GGA-PBE-relaxed structure.
Peak positions follow from Bragg's law for the DFT cell and can differ from measured ones.

Structure:
```
data_Ga2PtI2Br4Cl2
_cell_length_a 7.815
_cell_length_b 7.815
_cell_length_c 7.903
_cell_angle_alpha 97.27
_cell_angle_beta 97.27
_cell_angle_gamma 68.64
_symmetry_space_group_name_H-M 'P 1'
_symmetry_Int_Tables_number 1
loop_
_symmetry_equiv_pos_as_xyz
'x,y,z'
loop_
_atom_site_label
_atom_site_fract_x
_atom_site_fract_y
_atom_site_fract_z
_atom_site_occupancy
Ga1 0.219 0.219 0.331 1
Ga2 0.781 0.781 0.669 1
Pt1 0.000 0.000 0.000 1
I1 0.181 0.181 0.632 1
I2 0.819 0.819 0.368 1
Br1 0.079 0.690 0.849 1
Br2 0.310 0.921 0.151 1
Br3 0.690 0.079 0.849 1
Br4 0.921 0.310 0.151 1
Cl1 0.379 0.379 0.286 1
Cl2 0.621 0.621 0.714 1
```

Top 10 peaks for 2θ from 10° to 90°, low angle first:
2θ/deg	I (rel.)
12.2	100.0
15.9	25.2
16.5	49.0
20.2	22.1
24.4	28.7
24.9	62.3
28.0	61.2
40.0	20.4
40.2	31.0
47.2	18.8


[8]
# Ga2PtI2Br2Cl4
Calculated X-ray powder pattern, Cu Kα, 1.54184 Å. Input: a GGA-PBE-relaxed structure.
Peak positions follow from Bragg's law for the DFT cell and can differ from measured ones.

Structure:
```
data_Ga2PtI2Br2Cl4
_cell_length_a 7.761
_cell_length_b 7.761
_cell_length_c 7.697
_cell_angle_alpha 98.81
_cell_angle_beta 98.81
_cell_angle_gamma 66.96
_symmetry_space_group_name_H-M 'P 1'
_symmetry_Int_Tables_number 1
loop_
_symmetry_equiv_pos_as_xyz
'x,y,z'
loop_
_atom_site_label
_atom_site_fract_x
_atom_site_fract_y
_atom_site_fract_z
_atom_site_occupancy
Ga1 0.214 0.214 0.327 1
Ga2 0.786 0.786 0.673 1
Pt1 0.000 0.000 0.000 1
I1 0.179 0.179 0.635 1
I2 0.821 0.821 0.365 1
Br1 0.384 0.384 0.281 1
Br2 0.616 0.616 0.719 1
Cl1 0.075 0.701 0.850 1
Cl2 0.299 0.925 0.150 1
Cl3 0.701 0.075 0.850 1
Cl4 0.925 0.299 0.150 1
```

Top 10 peaks for 2θ from 10° to 90°, low angle first:
2θ/deg	I (rel.)
12.5	96.6
16.2	52.7
19.8	65.5
20.7	100.0
24.4	71.5
25.1	58.5
28.8	96.7
36.8	41.3
41.6	41.3
47.0	50.5


Copy entry 7 word for word.
# Ga2PtI2Br4Cl2
Calculated X-ray powder pattern, Cu Kα, 1.54184 Å. Input: a GGA-PBE-relaxed structure.
Peak positions follow from Bragg's law for the DFT cell and can differ from measured ones.

Structure:
```
data_Ga2PtI2Br4Cl2
_cell_length_a 7.815
_cell_length_b 7.815
_cell_length_c 7.903
_cell_angle_alpha 97.27
_cell_angle_beta 97.27
_cell_angle_gamma 68.64
_symmetry_space_group_name_H-M 'P 1'
_symmetry_Int_Tables_number 1
loop_
_symmetry_equiv_pos_as_xyz
'x,y,z'
loop_
_atom_site_label
_atom_site_fract_x
_atom_site_fract_y
_atom_site_fract_z
_atom_site_occupancy
Ga1 0.219 0.219 0.331 1
Ga2 0.781 0.781 0.669 1
Pt1 0.000 0.000 0.000 1
I1 0.181 0.181 0.632 1
I2 0.819 0.819 0.368 1
Br1 0.079 0.690 0.849 1
Br2 0.310 0.921 0.151 1
Br3 0.690 0.079 0.849 1
Br4 0.921 0.310 0.151 1
Cl1 0.379 0.379 0.286 1
Cl2 0.621 0.621 0.714 1
```

Top 10 peaks for 2θ from 10° to 90°, low angle first:
2θ/deg	I (rel.)
12.2	100.0
15.9	25.2
16.5	49.0
20.2	22.1
24.4	28.7
24.9	62.3
28.0	61.2
40.0	20.4
40.2	31.0
47.2	18.8


Repeat the fifth record exactly.
# Ho2Fe2BrCl
Calculated X-ray powder pattern, Cu Kα, 1.54184 Å. Input: a GGA-PBE-relaxed structure.
Peak positions follow from Bragg's law for the DFT cell and can differ from measured ones.

Structure:
```
data_Ho2Fe2BrCl
_cell_length_a 3.813
_cell_length_b 3.813
_cell_length_c 11.131
_cell_angle_alpha 90.00
_cell_angle_beta 90.00
_cell_angle_gamma 120.00
_symmetry_space_group_name_H-M 'P 1'
_symmetry_Int_Tables_number 1
loop_
_symmetry_equiv_pos_as_xyz
'x,y,z'
loop_
_atom_site_label
_atom_site_fract_x
_atom_site_fract_y
_atom_site_fract_z
_atom_site_occupancy
Ho1 0.000 0.000 0.000 1
Ho2 0.000 0.000 0.355 1
Fe1 0.333 0.667 0.169 1
Fe2 0.667 0.333 0.186 1
Br1 0.667 0.333 0.827 1
Cl1 0.333 0.667 0.510 1
```

Top 10 peaks for 2θ from 10° to 90°, low angle first:
2θ/deg	I (rel.)
27.0	25.1
28.2	21.8
31.5	53.1
36.4	100.0
47.7	38.0
49.4	12.4
61.5	21.4
64.3	12.0
70.9	18.9
81.3	19.2